For TaMn2CrO8, a PBE+U-relaxed structure gives the theoretical X-ray powder pattern in this record (Cu Kα, 1.54184 Å).
No peak broadening, texture or thermal motion is included.

Peak list (10 most intense, 2θ from 10° to 80°, in order of falling intensity)
Position (°2θ)  I/Imax
27.61  100
19.38  86
33.82  78
52.92  74
44.30  21
67.95  19
39.44  18
64.08  16
33.94  15
57.00  15

Unit cell a=5.610 b=5.610 c=5.610 alpha=109.66 beta=109.66 gamma=109.09
Sites, in units of the cell vectors:
Ta 0.000 0.000 0.000
Mn 0.250 0.750 0.500
Mn 0.500 0.500 0.000
Cr 0.750 0.250 0.500
O 0.052 0.362 0.310
O 0.052 0.742 0.690
O 0.100 0.284 0.817
O 0.258 0.948 0.310
O 0.467 0.284 0.183
O 0.638 0.948 0.690
O 0.716 0.533 0.817
O 0.716 0.900 0.183